Simulated X-ray powder pattern of PmErBe for Cu Kα X-rays, from a crystal structure in Alexandria, relaxed with GGA-PBE.

Main lines, by angle (2θ from 10° to 80°):
- d = 3.275 Å, 2θ 27.23, intensity 71
- d = 3.220 Å, 2θ 27.71, intensity 51
- d = 2.962 Å, 2θ 30.17, intensity 100
- d = 2.718 Å, 2θ 32.96, intensity 90
- d = 2.645 Å, 2θ 33.89, intensity 26
- d = 2.534 Å, 2θ 35.42, intensity 47
- d = 2.049 Å, 2θ 44.20, intensity 34
- d = 1.991 Å, 2θ 45.56, intensity 27

Crystal structure
a b c (Å): 8.581 5.068 6.947
angles (deg): 90.00 90.00 90.00
Fractional positions:
Pm 0.180 0.250 0.126
Pm 0.320 0.750 0.626
Pm 0.680 0.250 0.374
Pm 0.820 0.750 0.874
Er 0.046 0.250 0.669
Er 0.454 0.750 0.169
Er 0.546 0.250 0.831
Er 0.954 0.750 0.331
Be 0.133 0.750 0.951
Be 0.367 0.250 0.451
Be 0.633 0.750 0.549
Be 0.867 0.250 0.049